Calculated X-ray powder pattern of PrAlAg2S4 for a wavelength of 1.5418 Å, from a GGA-PBE-relaxed structure.
Peak positions follow from Bragg's law for the DFT cell and can differ from measured ones.

Cell and atoms:
Cell: 10.442 11.421 7.493 Å, 90.00 130.11 90.00°
Space group C2/c (No. 15)
Symmetry-distinct sites (fractional):
Pr: 0.250 0.250 0.000 (multiplicity 4)
Al: 0.000 0.000 0.000 (multiplicity 4)
Ag: 0.000 0.500 0.000 (multiplicity 4)
Ag: 0.250 0.250 0.500 (multiplicity 4)
S: 0.013 0.213 0.503 (multiplicity 8)
S: 0.221 0.001 0.420 (multiplicity 8)

The 10 most intense peaks (10° ≤ 2θ ≤ 90°), sorted by position:
- d = 3.273 Å, I 83, hkl 2 2 0
- d = 3.123 Å, I 79, hkl 2 2 -2
- d = 2.866 Å, I 99, hkl 0 0 2
- d = 2.855 Å, I 100, hkl 0 4 0
- d = 2.604 Å, I 83, hkl 4 0 -2
- d = 2.023 Å, I 63, hkl 0 4 2
- d = 1.997 Å, I 35, hkl 4 0 0
- d = 1.924 Å, I 60, hkl 4 4 -2
- d = 1.865 Å, I 25, hkl 4 0 -4
- d = 1.636 Å, I 33, hkl 4 4 0

=====

Calculated X-ray powder pattern of PrAlAg2Se4 for a wavelength of 1.5418 Å, from a GGA-PBE-relaxed structure.
Peak positions follow from Bragg's law for the DFT cell and can differ from measured ones.

Cell and atoms:
Cell: 11.128 11.730 7.909 Å, 90.00 131.50 90.00°
Space group C2/c (No. 15)
Symmetry-distinct sites (fractional):
Pr: 0.250 0.250 0.000 (multiplicity 4)
Al: 0.000 0.000 0.000 (multiplicity 4)
Ag: 0.000 0.500 0.000 (multiplicity 4)
Ag: 0.250 0.250 0.500 (multiplicity 4)
Se: 0.009 0.221 0.498 (multiplicity 8)
Se: 0.227 0.005 0.432 (multiplicity 8)

The 10 most intense peaks (10° ≤ 2θ ≤ 90°), sorted by position:
- d = 3.493 Å, I 19, hkl 1 1 -2
- d = 2.962 Å, I 97, hkl 0 0 2
- d = 2.932 Å, I 99, hkl 0 4 0
- d = 2.778 Å, I 93, hkl 4 0 -2
- d = 2.671 Å, I 25, hkl 1 3 -2
- d = 2.084 Å, I 100, hkl 4 0 0
- d = 2.017 Å, I 65, hkl 4 4 -2
- d = 1.973 Å, I 26, hkl 4 0 -4
- d = 1.698 Å, I 35, hkl 4 4 0
- d = 1.637 Å, I 25, hkl 4 4 -4